This entry pairs a crystal structure of MgHg3Br8 with its calculated powder XRD pattern. Radiation: Cu Kα (weighted mean of Kα1 and Kα2). Structure: a structure optimized by DFT (GGA-PBE).

a b c (Å): 14.3580 8.0271 8.2553
angles (deg): 90.00 123.90 90.00
Space group C2/m (No. 12)
Inequivalent atoms, fractional coordinates:
Mg: 0.0000 0.0000 0.0000 [2 per cell]
Hg: 0.0000 0.5000 0.0000 [2 per cell]
Hg: 0.2500 0.2500 0.0000 [4 per cell]
Br: 0.0015 0.2411 0.7707 [8 per cell]
Br: 0.2312 0.0000 0.2261 [4 per cell]
Br: 0.2481 0.5000 0.2331 [4 per cell]

Most intense lines, 2θ from 5° to 70°, in order of falling intensity:
d_spacing, I_rel
6.852, 100
2.877, 83
2.979, 45
2.085, 32
2.055, 31
3.446, 28
3.553, 20
2.236, 18
1.664, 17
2.063, 15
2.007, 15
2.684, 10

This entry pairs a crystal structure of Tb3HoRu3 with its calculated powder XRD pattern. Radiation: Cu Kα (weighted mean of Kα1 and Kα2). Structure: a structure optimized by DFT (GGA-PBE).

a b c (Å): 9.6991 9.6259 6.7492
angles (deg): 90.00 90.08 90.00
Space group C2/m (No. 12)
Inequivalent atoms, fractional coordinates:
Tb: 0.0000 0.2462 0.0000 [4 per cell]
Tb: 0.0000 0.2501 0.5000 [4 per cell]
Tb: 0.2466 0.0000 0.0006 [4 per cell]
Ho: 0.2416 0.0000 0.5006 [4 per cell]
Ru: 0.0000 0.0000 0.2507 [4 per cell]
Ru: 0.2500 0.2500 0.2509 [8 per cell]

Most intense lines, 2θ from 5° to 70°, in order of falling intensity:
d_spacing, I_rel
2.403, 100
2.400, 66
2.425, 34
1.395, 23
1.388, 23
1.708, 23
3.416, 20
6.832, 14
1.385, 12
1.382, 12
1.687, 11
3.375, 10

This entry pairs a crystal structure of K2BaU2O7 with its calculated powder XRD pattern. Radiation: Cu Kα (weighted mean of Kα1 and Kα2). Structure: a structure optimized by DFT (GGA-PBE).

a b c (Å): 4.3937 4.3937 22.4386
angles (deg): 90.00 90.00 90.00
Space group I4/mmm (No. 139)
Inequivalent atoms, fractional coordinates:
K: 0.0000 0.0000 0.1937 [4 per cell]
Ba: 0.0000 0.0000 0.0000 [2 per cell]
U: 0.0000 0.0000 0.4014 [4 per cell]
O: 0.0000 0.0000 0.3128 [4 per cell]
O: 0.0000 0.0000 0.5000 [2 per cell]
O: 0.0000 0.5000 0.0897 [8 per cell]

Most intense lines, 2θ from 5° to 70°, in order of falling intensity:
d_spacing, I_rel
3.140, 100
11.219, 66
3.107, 54
1.800, 42
4.312, 32
2.197, 30
1.819, 23
1.570, 19
3.788, 17
2.244, 15
5.610, 15
1.416, 13

Question: Which formula does entry 3 have?
Answer: K2BaU2O7